[1]
Diffraction record for SrEr2NpO8. The XRD peak list is simulated, not measured: it uses the GGA-PBE geometry in Alexandria and Cu Kα, 1.54184 Å.
Neutral-atom scattering factors, no anomalous dispersion.

Structure:
Cell: 3.980 7.634 5.299 Å, 90.00 93.57 90.00°
Space group P2/m (No. 10)
Symmetry-distinct sites (fractional):
Sr (0.000, 0.000, 0.000)
Er (0.500, 0.261, 0.500)
Np (0.000, 0.500, 0.000)
O (0.024, 0.292, 0.756)
O (0.465, 0.500, 0.231)
O (0.491, 0.000, 0.707)

Main lines, in order of rising 2θ (2θ from 15° to 90°):
hkl, d/Å, 2theta, intensity
1 0 -1, 3.276, 27.22, 39
1 0 1, 3.092, 28.88, 100
1 2 0, 2.752, 32.53, 32
0 0 2, 2.645, 33.90, 14
2 0 0, 1.986, 45.68, 13
1 2 -2, 1.949, 46.59, 25
1 2 2, 1.867, 48.78, 21
2 2 -1, 1.700, 53.94, 12
1 4 -1, 1.649, 55.73, 16
0 2 3, 1.601, 57.59, 11

[2]
Diffraction record for ErNpPd6. The XRD peak list is simulated, not measured: it uses the GGA-PBE geometry in Alexandria and Cu Kα, 1.54184 Å.
Neutral-atom scattering factors, no anomalous dispersion.

Structure:
Cell: 4.115 4.115 8.241 Å, 90.00 90.00 90.00°
Space group P4/mmm (No. 123)
Symmetry-distinct sites (fractional):
Er (0.000, 0.000, 0.000)
Np (0.000, 0.000, 0.500)
Pd (0.000, 0.500, 0.251)
Pd (0.500, 0.500, 0.000)
Pd (0.500, 0.500, 0.500)

Main lines, in order of rising 2θ (2θ from 15° to 90°):
hkl, d/Å, 2theta, intensity
1 0 0, 4.117, 21.58, 9
1 1 0, 2.911, 30.71, 8
1 1 2, 2.377, 37.85, 100
2 0 0, 2.059, 43.99, 49
2 1 0, 1.841, 49.50, 4
1 1 4, 1.681, 54.60, 3
2 2 0, 1.456, 63.96, 32
0 0 6, 1.372, 68.35, 2
3 1 2, 1.241, 76.78, 38
2 2 4, 1.189, 80.88, 11

[3]
Diffraction record for Rb2Er2NpSe6. The XRD peak list is simulated, not measured: it uses the GGA-PBE geometry in Alexandria and Cu Kα, 1.54184 Å.
Neutral-atom scattering factors, no anomalous dispersion.

Structure:
Cell: 7.194 12.463 8.550 Å, 90.00 106.52 90.00°
Space group C2/m (No. 12)
Symmetry-distinct sites (fractional):
Rb (0.000, 0.168, 0.000)
Er (0.000, 0.333, 0.500)
Np (0.000, 0.000, 0.500)
Se (0.230, 0.166, 0.690)
Se (0.233, 0.500, 0.690)

Main lines, in order of rising 2θ (2θ from 15° to 90°):
hkl, d/Å, 2theta, intensity
1 3 0, 3.560, 25.02, 16
2 0 -2, 3.110, 28.70, 49
1 3 1, 3.102, 28.78, 100
1 3 2, 2.511, 35.76, 24
1 3 -3, 2.340, 38.48, 35
2 0 2, 2.332, 38.60, 18
0 6 0, 2.077, 43.58, 52
3 3 -2, 2.013, 45.03, 21
2 6 -2, 1.727, 53.01, 18
1 9 1, 1.328, 70.97, 15

[4]
Diffraction record for ErNpRu. The XRD peak list is simulated, not measured: it uses the GGA-PBE geometry in Alexandria and Cu Kα, 1.54184 Å.
Neutral-atom scattering factors, no anomalous dispersion.

Structure:
Cell: 4.8930 4.8930 19.8071 Å, 90.00 90.00 120.00°
Space group R-3m (No. 166, hexagonal axes)
Symmetry-distinct sites (fractional):
Er (0.0000, 0.0000, 0.1207)
Np (0.0000, 0.0000, 0.3092)
Ru (0.0000, 0.0000, 0.4364)

Main lines, in order of rising 2θ (2θ from 15° to 90°):
hkl, d/Å, 2theta, intensity
1 0 4, 3.220, 27.71, 18
0 1 5, 2.894, 30.90, 61
1 1 0, 2.447, 36.74, 100
1 0 7, 2.353, 38.25, 34
2 0 5, 1.868, 48.74, 18
1 1 9, 1.636, 56.22, 19
1 2 5, 1.485, 62.56, 17
3 0 0, 1.412, 66.16, 18
2 1 7, 1.394, 67.16, 13
1 0 16, 1.188, 80.88, 16

[5]
Diffraction record for Er3NpS6. The XRD peak list is simulated, not measured: it uses the GGA-PBE geometry in Alexandria and Cu Kα, 1.54184 Å.
Neutral-atom scattering factors, no anomalous dispersion.

Structure:
Cell: 10.994 3.924 11.188 Å, 90.00 108.68 90.00°
Space group P2_1/m (No. 11)
Symmetry-distinct sites (fractional):
Er (0.065, 0.250, 0.167)
Er (0.180, 0.750, 0.502)
Er (0.341, 0.250, 0.916)
Np (0.452, 0.250, 0.309)
S (0.022, 0.250, 0.387)
S (0.103, 0.250, 0.937)
S (0.242, 0.750, 0.275)
S (0.307, 0.750, 0.750)
S (0.385, 0.250, 0.539)
S (0.418, 0.750, 0.098)

Main lines, in order of rising 2θ (2θ from 15° to 90°):
hkl, d/Å, 2theta, intensity
1 0 -3, 3.729, 23.87, 84
0 1 1, 3.679, 24.19, 40
3 0 -1, 3.665, 24.29, 100
2 0 2, 3.233, 27.59, 50
1 1 -2, 3.192, 27.96, 57
2 1 1, 2.859, 31.29, 73
3 1 0, 2.600, 34.49, 54
4 1 -3, 2.118, 42.68, 72
1 1 4, 2.042, 44.36, 39
0 2 0, 1.961, 46.30, 55

[6]
Diffraction record for ErNp5S6. The XRD peak list is simulated, not measured: it uses the GGA-PBE geometry in Alexandria and Cu Kα, 1.54184 Å.
Neutral-atom scattering factors, no anomalous dispersion.

Structure:
Cell: 6.743 11.657 6.745 Å, 90.00 109.45 90.00°
Space group C2/m (No. 12)
Symmetry-distinct sites (fractional):
Er (0.000, 0.000, 0.000)
Np (0.000, 0.167, 0.500)
Np (0.000, 0.333, 0.000)
Np (0.000, 0.500, 0.500)
S (0.249, 0.000, 0.751)
S (0.249, 0.165, 0.247)

Main lines, in order of rising 2θ (2θ from 15° to 90°):
hkl, d/Å, 2theta, intensity
2 0 0, 3.177, 28.09, 100
1 3 1, 2.752, 32.54, 96
2 0 2, 1.946, 46.67, 59
0 6 0, 1.943, 46.76, 12
1 3 3, 1.660, 55.34, 17
3 3 1, 1.659, 55.39, 33
4 0 0, 1.590, 58.01, 12
2 6 -2, 1.587, 58.11, 12
4 6 0, 1.231, 77.56, 27
5 3 1, 1.124, 86.63, 17

[7]
Diffraction record for Er4NpS5. The XRD peak list is simulated, not measured: it uses the GGA-PBE geometry in Alexandria and Cu Kα, 1.54184 Å.
Neutral-atom scattering factors, no anomalous dispersion.

Structure:
Cell: 3.870 3.870 27.419 Å, 90.00 90.00 90.00°
Space group I4/mmm (No. 139)
Symmetry-distinct sites (fractional):
Er (0.000, 0.000, 0.099)
Er (0.000, 0.000, 0.300)
Np (0.000, 0.000, 0.500)
S (0.000, 0.000, 0.000)
S (0.000, 0.000, 0.200)
S (0.000, 0.000, 0.399)

Main lines, in order of rising 2θ (2θ from 15° to 90°):
hkl, d/Å, 2theta, intensity
1 0 5, 3.162, 28.23, 90
1 1 0, 2.738, 32.71, 100
2 0 0, 1.936, 46.93, 72
2 1 5, 1.651, 55.67, 44
2 0 10, 1.581, 58.37, 25
3 0 5, 1.256, 75.71, 18
1 1 20, 1.226, 77.95, 11
3 1 0, 1.224, 78.08, 22
2 0 20, 1.119, 87.13, 8
3 1 10, 1.117, 87.25, 17

[8]
Diffraction record for ErNp3Sb4. The XRD peak list is simulated, not measured: it uses the GGA-PBE geometry in Alexandria and Cu Kα, 1.54184 Å.
Neutral-atom scattering factors, no anomalous dispersion.

Structure:
Cell: 8.790 12.397 4.377 Å, 90.00 90.00 90.00°
Space group Cmmm (No. 65)
Symmetry-distinct sites (fractional):
Er (0.000, 0.000, 0.000)
Np (0.000, 0.500, 0.000)
Np (0.250, 0.250, 0.500)
Sb (0.000, 0.249, 0.000)
Sb (0.248, 0.000, 0.500)

Main lines, in order of rising 2θ (2θ from 15° to 90°):
hkl, d/Å, 2theta, intensity
2 2 0, 3.580, 24.87, 14
2 0 1, 3.101, 28.79, 100
4 0 0, 2.197, 41.08, 13
2 4 1, 2.191, 41.19, 64
4 4 0, 1.793, 50.94, 14
0 4 2, 1.788, 51.09, 14
4 0 2, 1.550, 59.64, 13
4 4 2, 1.386, 67.56, 24
6 4 1, 1.267, 74.94, 13
2 4 3, 1.264, 75.14, 13

[9]
Diffraction record for ErNp2ScSb4. The XRD peak list is simulated, not measured: it uses the GGA-PBE geometry in Alexandria and Cu Kα, 1.54184 Å.
Neutral-atom scattering factors, no anomalous dispersion.

Structure:
Cell: 7.484 4.324 7.522 Å, 90.00 109.38 90.00°
Space group P2/m (No. 10)
Symmetry-distinct sites (fractional):
Er (0.000, 0.000, 0.000)
Np (0.000, 0.500, 0.500)
Np (0.500, 0.000, 0.500)
Sc (0.500, 0.500, 0.000)
Sb (0.253, 0.500, 0.243)
Sb (0.260, 0.000, 0.761)

Main lines, in order of rising 2θ (2θ from 15° to 90°):
hkl, d/Å, 2theta, intensity
2 0 -1, 3.688, 24.13, 10
1 1 1, 3.062, 29.17, 100
1 1 -3, 2.169, 41.64, 38
0 2 0, 2.161, 41.80, 38
0 0 4, 1.774, 51.52, 7
2 2 -2, 1.766, 51.78, 20
2 2 2, 1.531, 60.47, 13
0 2 4, 1.371, 68.42, 17
1 3 1, 1.367, 68.64, 17
1 3 -3, 1.249, 76.21, 13

[10]
Diffraction record for ErNpSe3. The XRD peak list is simulated, not measured: it uses the GGA-PBE geometry in Alexandria and Cu Kα, 1.54184 Å.
Neutral-atom scattering factors, no anomalous dispersion.

Structure:
Cell: 7.659 4.081 15.701 Å, 90.00 90.00 90.00°
Space group Pnma (No. 62)
Symmetry-distinct sites (fractional):
Er (0.234, 0.250, 0.042)
Np (0.138, 0.750, 0.293)
Se (0.008, 0.750, 0.107)
Se (0.123, 0.250, 0.434)
Se (0.147, 0.750, 0.719)

Main lines, in order of rising 2θ (2θ from 15° to 90°):
hkl, d/Å, 2theta, intensity
2 0 1, 3.720, 23.92, 36
1 1 1, 3.510, 25.37, 48
1 0 4, 3.493, 25.50, 35
0 1 3, 3.218, 27.72, 32
1 0 5, 2.905, 30.77, 29
1 1 4, 2.654, 33.78, 27
2 1 2, 2.631, 34.08, 100
2 1 3, 2.464, 36.47, 26
1 1 5, 2.367, 38.02, 54
0 2 0, 2.041, 44.39, 41

[11]
Diffraction record for Er2Np2Se7. The XRD peak list is simulated, not measured: it uses the GGA-PBE geometry in Alexandria and Cu Kα, 1.54184 Å.
Neutral-atom scattering factors, no anomalous dispersion.

Structure:
Cell: 9.319 9.976 6.952 Å, 90.00 90.00 90.00°
Space group Cmmm (No. 65)
Symmetry-distinct sites (fractional):
Er (0.222, 0.000, 0.000)
Np (0.000, 0.231, 0.500)
Se (0.000, 0.000, 0.255)
Se (0.000, 0.500, 0.500)
Se (0.250, 0.250, 0.240)

Main lines, in order of rising 2θ (2θ from 15° to 90°):
hkl, d/Å, 2theta, intensity
0 2 1, 4.053, 21.93, 63
2 0 1, 3.870, 22.98, 97
0 4 0, 2.494, 36.01, 34
2 2 2, 2.432, 36.96, 100
4 0 0, 2.329, 38.66, 35
0 2 3, 2.102, 43.04, 15
2 4 1, 2.096, 43.15, 33
4 2 1, 2.020, 44.88, 16
4 4 0, 1.702, 53.85, 19
0 4 4, 1.427, 65.40, 27

[12]
Diffraction record for ErNp2Te5. The XRD peak list is simulated, not measured: it uses the GGA-PBE geometry in Alexandria and Cu Kα, 1.54184 Å.
Neutral-atom scattering factors, no anomalous dispersion.

Structure:
Cell: 7.396 7.396 5.335 Å, 90.00 90.00 90.00°
Space group P4/mmm (No. 123)
Symmetry-distinct sites (fractional):
Er (0.000, 0.000, 0.000)
Np (0.000, 0.500, 0.500)
Te (0.000, 0.000, 0.500)
Te (0.280, 0.280, 0.000)

Main lines, in order of rising 2θ (2θ from 15° to 90°):
hkl, d/Å, 2theta, intensity
1 1 1, 3.735, 23.83, 58
2 1 0, 3.308, 26.96, 23
2 0 1, 3.039, 29.39, 100
0 0 2, 2.667, 33.60, 35
2 2 0, 2.615, 34.29, 60
3 1 1, 2.142, 42.19, 20
2 2 2, 1.867, 48.77, 45
4 0 0, 1.849, 49.28, 19
4 2 1, 1.580, 58.42, 21
4 0 2, 1.520, 60.97, 20

[13]
Diffraction record for Er3NpTl3Te8. The XRD peak list is simulated, not measured: it uses the GGA-PBE geometry in Alexandria and Cu Kα, 1.54184 Å.
Neutral-atom scattering factors, no anomalous dispersion.

Structure:
Cell: 8.7785 8.7785 24.7447 Å, 90.00 90.00 120.00°
Space group R-3m (No. 166, hexagonal axes)
Symmetry-distinct sites (fractional):
Er (0.0000, 0.5000, 0.0000)
Np (0.0000, 0.0000, 0.0000)
Tl (0.0000, 0.5000, 0.5000)
Te (0.0000, 0.0000, 0.2627)
Te (0.0010, 0.5005, 0.2630)

Main lines, in order of rising 2θ (2θ from 15° to 90°):
hkl, d/Å, 2theta, intensity
0 2 4, 3.239, 27.54, 100
2 0 8, 2.399, 37.49, 39
2 2 0, 2.195, 41.13, 36
0 0 12, 2.062, 43.91, 7
2 0 11, 1.937, 46.91, 6
4 0 4, 1.817, 50.22, 19
0 4 8, 1.619, 56.86, 12
2 2 12, 1.503, 61.73, 14
2 4 4, 1.399, 66.85, 16
4 2 8, 1.303, 72.55, 11